No. 1
Simulated PXRD pattern
Compound: U6Os2Ru
Radiation: Cu Kα, 1.54184 Å
Structure: a cell relaxed with PBE
Intensities are scaled so that the largest is 100.

Principal peaks in the range 2θ from 10° to 90°, by angle:
2theta	Rel. int.
38.02	100.0
39.14	53.6
50.64	31.9
55.71	19.6
68.68	18.5
69.44	20.8

Cell and atoms:
Lattice parameters (Å, degrees): 8.199 8.199 2.781 90.00 90.00 120.00
Fractional positions:
U (0.000, 0.331, 0.000)
U (0.000, 0.669, 0.000)
U (0.331, 0.000, 0.000)
U (0.331, 0.331, 0.000)
U (0.669, 0.000, 0.000)
U (0.669, 0.669, 0.000)
Os (0.333, 0.667, 0.357)
Os (0.667, 0.333, 0.357)
Ru (0.000, 0.000, 0.660)

---

No. 2
Simulated PXRD pattern
Compound: U6OsRu2
Radiation: Cu Kα, 1.54184 Å
Structure: a cell relaxed with PBE
Intensities are scaled so that the largest is 100.

Principal peaks in the range 2θ from 10° to 90°, by angle:
2theta	Rel. int.
22.11	44.4
33.60	46.3
34.43	39.6
34.92	100.0
40.22	43.9
50.46	44.8

Cell and atoms:
Lattice parameters (Å, degrees): 6.472 6.472 5.326 100.41 100.41 59.85
Fractional positions:
U (0.120, 0.723, 0.774)
U (0.277, 0.880, 0.226)
U (0.292, 0.292, 0.183)
U (0.708, 0.708, 0.817)
U (0.723, 0.120, 0.774)
U (0.880, 0.277, 0.226)
Os (0.500, 0.500, 0.500)
Ru (0.188, 0.188, 0.747)
Ru (0.812, 0.812, 0.253)

---

No. 3
Simulated PXRD pattern
Compound: V2Os2Ru5
Radiation: Cu Kα, 1.54184 Å
Structure: a cell relaxed with PBE
Intensities are scaled so that the largest is 100.

Principal peaks in the range 2θ from 10° to 90°, by angle:
2theta	Rel. int.
21.68	27.2
39.65	37.4
41.50	91.2
41.71	60.0
43.24	100.0
43.76	36.7

Cell and atoms:
Lattice parameters (Å, degrees): 4.878 4.878 7.065 103.53 103.53 52.70
Fractional positions:
V (0.180, 0.180, 0.480)
V (0.820, 0.820, 0.520)
Os (0.277, 0.277, 0.125)
Os (0.723, 0.723, 0.875)
Ru (0.062, 0.062, 0.777)
Ru (0.377, 0.377, 0.801)
Ru (0.500, 0.500, 0.500)
Ru (0.623, 0.623, 0.199)
Ru (0.938, 0.938, 0.223)

---

No. 4
Simulated PXRD pattern
Compound: V6Os5Ru
Radiation: Cu Kα, 1.54184 Å
Structure: a cell relaxed with PBE
Intensities are scaled so that the largest is 100.

Principal peaks in the range 2θ from 10° to 90°, by angle:
2theta	Rel. int.
29.50	39.5
29.71	19.4
42.21	50.5
42.37	100.0
52.47	17.2
77.28	33.2

Cell and atoms:
Lattice parameters (Å, degrees): 6.772 6.772 6.014 90.00 90.00 143.16
Fractional positions:
V (0.000, 0.000, 0.249)
V (0.000, 0.000, 0.751)
V (0.332, 0.668, 0.250)
V (0.332, 0.668, 0.750)
V (0.668, 0.332, 0.250)
V (0.668, 0.332, 0.750)
Os (0.164, 0.836, 0.500)
Os (0.165, 0.835, 0.000)
Os (0.500, 0.500, 0.000)
Os (0.835, 0.165, 0.000)
Os (0.836, 0.164, 0.500)
Ru (0.500, 0.500, 0.500)

---

No. 5
Simulated PXRD pattern
Compound: V4Os3Ru2
Radiation: Cu Kα, 1.54184 Å
Structure: a cell relaxed with PBE
Intensities are scaled so that the largest is 100.

Principal peaks in the range 2θ from 10° to 90°, by angle:
2theta	Rel. int.
26.60	38.5
33.12	40.7
41.99	93.4
42.36	100.0
61.17	30.1
77.22	30.3

Cell and atoms:
Lattice parameters (Å, degrees): 4.268 4.268 7.938 90.00 90.00 120.00
Fractional positions:
V (0.000, 0.000, 0.154)
V (0.000, 0.000, 0.846)
V (0.333, 0.667, 0.387)
V (0.667, 0.333, 0.613)
Os (0.000, 0.000, 0.500)
Os (0.333, 0.667, 0.082)
Os (0.667, 0.333, 0.918)
Ru (0.333, 0.667, 0.710)
Ru (0.667, 0.333, 0.290)

---

No. 6
Simulated PXRD pattern
Compound: V3OsRu2
Radiation: Cu Kα, 1.54184 Å
Structure: a cell relaxed with PBE
Intensities are scaled so that the largest is 100.

Principal peaks in the range 2θ from 10° to 90°, by angle:
2theta	Rel. int.
29.55	26.3
42.28	50.4
42.41	100.0
61.34	16.2
77.41	32.1
77.67	16.0

Cell and atoms:
Lattice parameters (Å, degrees): 4.274 6.011 6.758 90.00 108.37 90.00
Fractional positions:
V (0.000, 0.250, 0.000)
V (0.000, 0.750, 0.000)
V (0.332, 0.249, 0.663)
V (0.332, 0.751, 0.663)
V (0.668, 0.249, 0.337)
V (0.668, 0.751, 0.337)
Os (0.164, 0.000, 0.329)
Os (0.836, 0.000, 0.671)
Ru (0.165, 0.500, 0.330)
Ru (0.500, 0.000, 0.000)
Ru (0.500, 0.500, 0.000)
Ru (0.835, 0.500, 0.670)

---

No. 7
Simulated PXRD pattern
Compound: V2OsRu4
Radiation: Cu Kα, 1.54184 Å
Structure: a cell relaxed with PBE
Intensities are scaled so that the largest is 100.

Principal peaks in the range 2θ from 10° to 90°, by angle:
2theta	Rel. int.
40.30	99.4
41.41	100.0
41.64	80.9
42.05	92.9
44.01	82.5
44.45	70.6

Cell and atoms:
Lattice parameters (Å, degrees): 5.328 6.427 6.708 114.26 100.39 102.17
Fractional positions:
V (0.000, 0.000, 0.000)
V (0.177, 0.556, 0.840)
V (0.427, 0.122, 0.694)
V (0.667, 0.264, 0.390)
Os (0.188, 0.289, 0.435)
Os (0.752, 0.857, 0.286)
Ru (0.042, 0.722, 0.577)
Ru (0.236, 0.820, 0.250)
Ru (0.383, 0.395, 0.102)
Ru (0.491, 0.958, 0.972)
Ru (0.540, 0.727, 0.546)
Ru (0.688, 0.551, 0.833)
Ru (0.878, 0.386, 0.135)
Ru (0.931, 0.145, 0.712)

---

No. 8
Simulated PXRD pattern
Compound: V4Os3Ru
Radiation: Cu Kα, 1.54184 Å
Structure: a cell relaxed with PBE
Intensities are scaled so that the largest is 100.

Principal peaks in the range 2θ from 10° to 90°, by angle:
2theta	Rel. int.
29.49	37.6
29.73	18.4
42.20	50.6
42.37	100.0
61.21	16.5
77.27	33.2

Cell and atoms:
Lattice parameters (Å, degrees): 3.005 4.284 8.565 90.00 90.00 90.00
Fractional positions:
V (0.000, 0.000, 0.000)
V (0.000, 0.000, 0.500)
V (0.000, 0.500, 0.248)
V (0.000, 0.500, 0.752)
Os (0.500, 0.000, 0.253)
Os (0.500, 0.000, 0.747)
Os (0.500, 0.500, 0.000)
Ru (0.500, 0.500, 0.500)

---

No. 9
Simulated PXRD pattern
Compound: V3Os4Ru2
Radiation: Cu Kα, 1.54184 Å
Structure: a cell relaxed with PBE
Intensities are scaled so that the largest is 100.

Principal peaks in the range 2θ from 10° to 90°, by angle:
2theta	Rel. int.
18.13	43.2
36.22	38.6
36.44	32.7
41.48	100.0
42.15	73.5
43.57	88.2

Cell and atoms:
Lattice parameters (Å, degrees): 6.505 6.571 6.757 109.63 95.44 103.44
Fractional positions:
V (0.067, 0.046, 0.253)
V (0.290, 0.432, 0.415)
V (0.340, 0.752, 0.215)
V (0.660, 0.248, 0.785)
V (0.710, 0.568, 0.585)
V (0.933, 0.954, 0.747)
Os (0.016, 0.638, 0.376)
Os (0.259, 0.129, 0.631)
Os (0.299, 0.996, 0.977)
Os (0.415, 0.570, 0.847)
Os (0.585, 0.430, 0.153)
Os (0.701, 0.004, 0.023)
Os (0.741, 0.871, 0.369)
Os (0.984, 0.362, 0.624)
Ru (0.113, 0.341, 0.012)
Ru (0.450, 0.821, 0.623)
Ru (0.550, 0.179, 0.377)
Ru (0.887, 0.659, 0.988)

---

No. 10
Simulated PXRD pattern
Compound: V3Os2Ru2
Radiation: Cu Kα, 1.54184 Å
Structure: a cell relaxed with PBE
Intensities are scaled so that the largest is 100.

Principal peaks in the range 2θ from 10° to 90°, by angle:
2theta	Rel. int.
13.02	28.3
30.25	91.7
43.24	100.0
43.38	97.8
62.92	31.7
79.38	48.6

Cell and atoms:
Lattice parameters (Å, degrees): 7.218 7.218 7.218 33.70 33.70 33.70
Fractional positions:
V (0.000, 0.000, 0.000)
V (0.244, 0.244, 0.244)
V (0.756, 0.756, 0.756)
Os (0.375, 0.375, 0.375)
Os (0.625, 0.625, 0.625)
Ru (0.125, 0.125, 0.125)
Ru (0.875, 0.875, 0.875)

---

No. 11
Simulated PXRD pattern
Compound: Os3Ru6W
Radiation: Cu Kα, 1.54184 Å
Structure: a cell relaxed with PBE
Intensities are scaled so that the largest is 100.

Principal peaks in the range 2θ from 10° to 90°, by angle:
2theta	Rel. int.
25.92	57.5
39.21	79.7
41.58	69.6
41.75	77.1
42.20	94.2
43.47	100.0

Cell and atoms:
Lattice parameters (Å, degrees): 5.233 7.673 9.328 90.00 123.89 90.00
Fractional positions:
Os (0.000, 0.000, 0.000)
Os (0.000, 0.500, 0.500)
Os (0.023, 0.121, 0.751)
Os (0.023, 0.379, 0.251)
Os (0.977, 0.621, 0.749)
Os (0.977, 0.879, 0.249)
Ru (0.076, 0.647, 0.075)
Ru (0.076, 0.853, 0.575)
Ru (0.421, 0.646, 0.425)
Ru (0.421, 0.854, 0.925)
Ru (0.477, 0.123, 0.750)
Ru (0.477, 0.377, 0.250)
Ru (0.523, 0.623, 0.750)
Ru (0.523, 0.877, 0.250)
Ru (0.579, 0.146, 0.075)
Ru (0.579, 0.354, 0.575)
Ru (0.924, 0.147, 0.425)
Ru (0.924, 0.353, 0.925)
W (0.500, 0.000, 0.500)
W (0.500, 0.500, 0.000)

---

No. 12
Simulated PXRD pattern
Compound: Os2Ru5W2
Radiation: Cu Kα, 1.54184 Å
Structure: a cell relaxed with PBE
Intensities are scaled so that the largest is 100.

Principal peaks in the range 2θ from 10° to 90°, by angle:
2theta	Rel. int.
36.86	100.0
39.32	50.4
40.32	55.9
40.42	18.7
42.46	64.0
47.05	54.2

Cell and atoms:
Lattice parameters (Å, degrees): 7.767 7.767 7.767 84.24 109.65 139.82
Fractional positions:
Os (0.000, 0.000, 0.000)
Os (0.000, 0.500, 0.500)
Os (0.131, 0.895, 0.737)
Os (0.158, 0.395, 0.263)
Ru (0.028, 0.301, 0.833)
Ru (0.028, 0.694, 0.227)
Ru (0.167, 0.076, 0.381)
Ru (0.167, 0.286, 0.591)
Ru (0.215, 0.709, 0.006)
Ru (0.467, 0.194, 0.167)
Ru (0.467, 0.801, 0.773)
Ru (0.695, 0.576, 0.409)
Ru (0.695, 0.786, 0.619)
Ru (0.703, 0.209, 0.994)
W (0.586, 0.723, 0.121)
W (0.586, 0.965, 0.363)
W (0.602, 0.223, 0.637)
W (0.602, 0.465, 0.879)